# 1
The following is a computed X-ray powder pattern of CdPt9O12. It was derived from a DFT-relaxed cell (GGA-PBE, Alexandria), using λ = 1.5418 Å (Cu Kα).

```
data_CdPt9O12
_chemical_formula_sum 'Cd2 Pt18 O24'
_symmetry_space_group_name_H-M 'P m m m'
_symmetry_Int_Tables_number 47
_symmetry_space_group_name_Hall '-P 2 2'
_cell_length_a 5.7420
_cell_length_b 5.7589
_cell_length_c 17.1410
_cell_angle_alpha 90.00
_cell_angle_beta 90.00
_cell_angle_gamma 90.00
loop_
_atom_site_label
_atom_site_fract_x
_atom_site_fract_y
_atom_site_fract_z
_atom_site_occupancy
Cd1 0.0000 0.0000 0.1687 1
Pt1 0.0000 0.5000 0.0819 1
Pt2 0.0000 0.5000 0.2548 1
Pt3 0.0000 0.5000 0.4177 1
Pt4 0.2521 0.0000 0.3384 1
Pt5 0.2575 0.0000 0.0000 1
Pt6 0.5000 0.2537 0.5000 1
Pt7 0.5000 0.2569 0.1691 1
O1 0.2414 0.2409 0.0873 1
O2 0.2410 0.2408 0.2504 1
O3 0.2500 0.2532 0.4184 1
```

Main lines, by intensity (2θ = 5–70°):
- d 2.572, rel. 100, hkl 1 2 0
- d 2.562, rel. 79, hkl 2 0 3
- d 4.057, rel. 53, hkl 1 0 3
- d 1.656, rel. 44, hkl 2 2 6
- d 2.345, rel. 38, hkl 2 1 3
- d 2.558, rel. 29, hkl 1 0 6

***

# 2
The following is a computed X-ray powder pattern of Th4GeBiSe2. It was derived from a DFT-relaxed cell (GGA-PBE, Alexandria), using λ = 1.5418 Å (Cu Kα).

```
data_Th4GeBiSe2
_chemical_formula_sum 'Th8 Ge2 Bi2 Se4'
_symmetry_space_group_name_H-M 'I 4/m m m'
_symmetry_Int_Tables_number 139
_symmetry_space_group_name_Hall '-I 4 2'
_cell_length_a 6.1506
_cell_length_b 6.1506
_cell_length_c 12.2676
_cell_angle_alpha 90.00
_cell_angle_beta 90.00
_cell_angle_gamma 90.00
loop_
_atom_site_label
_atom_site_fract_x
_atom_site_fract_y
_atom_site_fract_z
_atom_site_occupancy
Th1 0.0000 0.0000 0.2377 1
Th2 0.0000 0.5000 0.0000 1
Ge1 0.0000 0.0000 0.0000 1
Bi1 0.0000 0.0000 0.5000 1
Se1 0.0000 0.5000 0.2500 1
```

Main lines, by intensity (2θ = 5–70°):
- d 3.073, rel. 100, hkl 2 0 0
- d 2.173, rel. 77, hkl 2 2 0
- d 1.774, rel. 27, hkl 2 2 4
- d 1.375, rel. 24, hkl 4 2 0
- d 3.548, rel. 21, hkl 1 1 2
- d 1.372, rel. 11, hkl 2 0 8

***

# 3
The following is a computed X-ray powder pattern of DyAl6Pd2. It was derived from a DFT-relaxed cell (GGA-PBE, Alexandria), using λ = 1.5418 Å (Cu Kα).

```
data_DyAl6Pd2
_chemical_formula_sum 'Dy1 Al6 Pd2'
_symmetry_space_group_name_H-M 'P 4/m m m'
_symmetry_Int_Tables_number 123
_symmetry_space_group_name_Hall '-P 4 2'
_cell_length_a 4.5258
_cell_length_b 4.5258
_cell_length_c 7.9108
_cell_angle_alpha 90.00
_cell_angle_beta 90.00
_cell_angle_gamma 90.00
loop_
_atom_site_label
_atom_site_fract_x
_atom_site_fract_y
_atom_site_fract_z
_atom_site_occupancy
Dy1 0.0000 0.0000 0.0000 1
Al1 0.0000 0.0000 0.5000 1
Al2 0.0000 0.5000 0.2962 1
Al3 0.5000 0.5000 0.5000 1
Pd1 0.5000 0.5000 0.1696 1
```

Main lines, by intensity (2θ = 5–70°):
- d 2.978, rel. 100, hkl 1 0 2
- d 7.911, rel. 96, hkl 0 0 1
- d 2.263, rel. 89, hkl 2 0 0
- d 2.278, rel. 88, hkl 1 0 3
- d 3.200, rel. 83, hkl 1 1 0
- d 2.967, rel. 76, hkl 1 1 1

***

# 4
The following is a computed X-ray powder pattern of PmZnF5. It was derived from a DFT-relaxed cell (GGA-PBE, Alexandria), using λ = 1.5418 Å (Cu Kα).

```
data_PmZnF5
_chemical_formula_sum 'Pm4 Zn4 F20'
_symmetry_space_group_name_H-M 'C 1 2/c 1'
_symmetry_Int_Tables_number 15
_symmetry_space_group_name_Hall '-C 2yc'
_cell_length_a 9.2286
_cell_length_b 6.8214
_cell_length_c 7.8051
_cell_angle_alpha 90.00
_cell_angle_beta 114.57
_cell_angle_gamma 90.00
loop_
_atom_site_label
_atom_site_fract_x
_atom_site_fract_y
_atom_site_fract_z
_atom_site_occupancy
Pm1 0.0000 0.0555 0.2500 1
Zn1 0.0000 0.5000 0.0000 1
F1 0.0000 0.3978 0.2500 1
F2 0.0080 0.1885 0.9661 1
F3 0.2356 0.4796 0.6204 1
```

Main lines, by intensity (2θ = 5–70°):
- d 4.197, rel. 100, hkl 2 0 0
- d 3.387, rel. 99, hkl 1 1 -2
- d 3.411, rel. 42, hkl 0 2 0
- d 2.646, rel. 37, hkl 1 1 2
- d 1.788, rel. 28, hkl 3 1 2
- d 2.098, rel. 26, hkl 4 0 0

***

# 5
The following is a computed X-ray powder pattern of Ho7PtSe5. It was derived from a DFT-relaxed cell (GGA-PBE, Alexandria), using λ = 1.5418 Å (Cu Kα).

```
data_Ho7PtSe5
_chemical_formula_sum 'Ho28 Pt4 Se20'
_symmetry_space_group_name_H-M 'C m c 21'
_symmetry_Int_Tables_number 36
_symmetry_space_group_name_Hall 'C 2c -2'
_cell_length_a 3.9528
_cell_length_b 13.3221
_cell_length_c 24.2845
_cell_angle_alpha 90.00
_cell_angle_beta 90.00
_cell_angle_gamma 90.00
loop_
_atom_site_label
_atom_site_fract_x
_atom_site_fract_y
_atom_site_fract_z
_atom_site_occupancy
Ho1 0.0000 0.0410 0.0000 1
Ho2 0.0000 0.1378 0.7118 1
Ho3 0.0000 0.1394 0.2885 1
Ho4 0.0000 0.2949 0.9311 1
Ho5 0.0000 0.2963 0.0691 1
Ho6 0.0000 0.4092 0.6325 1
Ho7 0.0000 0.4112 0.3670 1
Pt1 0.0000 0.3058 0.5006 1
Se1 0.0000 0.0556 0.6060 1
Se2 0.0000 0.0570 0.3943 1
Se3 0.0000 0.2194 0.8208 1
Se4 0.0000 0.2210 0.1794 1
Se5 0.0000 0.4990 0.7499 1
```

Main lines, by intensity (2θ = 5–70°):
- d 2.869, rel. 100, hkl 1 3 2
- d 3.077, rel. 80, hkl 0 2 7
- d 2.774, rel. 66, hkl 1 3 3
- d 2.198, rel. 45, hkl 1 1 9
- d 1.976, rel. 36, hkl 2 0 0
- d 2.762, rel. 30, hkl 0 2 8

***

# 6
The following is a computed X-ray powder pattern of NdTa2O6F. It was derived from a DFT-relaxed cell (GGA-PBE, Alexandria), using λ = 1.5418 Å (Cu Kα).

```
data_NdTa2O6F
_chemical_formula_sum 'Nd4 Ta8 O24 F4'
_symmetry_space_group_name_H-M 'I m m a'
_symmetry_Int_Tables_number 74
_symmetry_space_group_name_Hall '-I 2b 2'
_cell_length_a 7.3796
_cell_length_b 7.5981
_cell_length_c 10.4555
_cell_angle_alpha 90.00
_cell_angle_beta 90.00
_cell_angle_gamma 90.00
loop_
_atom_site_label
_atom_site_fract_x
_atom_site_fract_y
_atom_site_fract_z
_atom_site_occupancy
Nd1 0.0000 0.0000 0.0000 1
Ta1 0.0000 0.0000 0.5000 1
Ta2 0.2500 0.2500 0.2500 1
O1 0.0000 0.2500 0.1744 1
O2 0.0000 0.2500 0.5530 1
O3 0.2017 0.0649 0.3793 1
F1 0.0000 0.2500 0.8855 1
```

Main lines, by intensity (2θ = 5–70°):
- d 3.073, rel. 100, hkl 0 2 2
- d 3.015, rel. 98, hkl 2 0 2
- d 6.147, rel. 80, hkl 0 1 1
- d 1.860, rel. 59, hkl 2 2 4
- d 3.165, rel. 50, hkl 2 1 1
- d 2.647, rel. 45, hkl 2 2 0